The following is a computed powder diffraction line list of Yb2Fe4Si9. It was derived from a cell relaxed with PBE, using Cu Ka.
Neutral-atom scattering factors, no anomalous dispersion.

Unit cell a=3.9323 b=3.9323 c=16.4617 alpha=90.00 beta=90.00 gamma=120.00
Space group P-3m1 (No. 164)
Symmetry-distinct sites (fractional):
1 Yb 0.3333 0.6667 0.2400 [2 per cell]
2 Fe 0.3333 0.6667 0.5797 [2 per cell]
3 Fe 0.3333 0.6667 0.9017 [2 per cell]
4 Si 0.0000 0.0000 0.1243 [2 per cell]
5 Si 0.0000 0.0000 0.3523 [2 per cell]
6 Si 0.0000 0.0000 0.5000 [1 per cell]
7 Si 0.3333 0.6667 0.0423 [2 per cell]
8 Si 0.3333 0.6667 0.4274 [2 per cell]

Principal peaks in the range 2θ = 10–90°, in order of rising 2θ:
2θ 10.7, intensity 16, hkl 0 0 2; 2θ 26.2, intensity 19, hkl 1 0 0; 2θ 26.7, intensity 43, hkl 1 0 1; 2θ 30.9, intensity 100, hkl 1 0 3; 2θ 32.6, intensity 23, hkl 0 0 6; 2θ 34.2, intensity 16, hkl 0 1 4; 2θ 38.0, intensity 37, hkl 1 0 5; 2θ 42.3, intensity 44, hkl 0 1 6; 2θ 46.2, intensity 68, hkl 1 1 0; 2θ 56.6, intensity 18, hkl 0 2 3; 2θ 57.2, intensity 18, hkl 1 0 9; 2θ 57.7, intensity 27, hkl 1 1 6


The following is a computed powder diffraction line list of SmSe2O8. It was derived from a cell relaxed with PBE, using Cu Ka.
Neutral-atom scattering factors, no anomalous dispersion.

Unit cell a=6.6121 b=7.1622 c=16.3666 alpha=90.00 beta=90.00 gamma=90.00
Space group P2_12_12_1 (No. 19)
Symmetry-distinct sites (fractional):
1 Sm 0.1269 0.0073 0.2405 [4 per cell]
2 Se 0.1249 0.7404 0.4434 [4 per cell]
3 Se 0.1639 0.4977 0.6869 [4 per cell]
4 O 0.0208 0.5635 0.3901 [4 per cell]
5 O 0.0243 0.9750 0.7442 [4 per cell]
6 O 0.0301 0.2838 0.9752 [4 per cell]
7 O 0.0873 0.7139 0.9259 [4 per cell]
8 O 0.1475 0.7277 0.9973 [4 per cell]
9 O 0.1468 0.9292 0.3829 [4 per cell]
10 O 0.1694 0.6858 0.2100 [4 per cell]
11 O 0.1810 0.3326 0.2314 [4 per cell]

Principal peaks in the range 2θ = 10–90°, in order of rising 2θ:
2θ 10.8, intensity 95, hkl 0 0 2; 2θ 13.5, intensity 27, hkl 0 1 1; 2θ 14.4, intensity 42, hkl 1 0 1; 2θ 21.3, intensity 23, hkl 1 1 2; 2θ 21.7, intensity 36, hkl 0 0 4; 2θ 25.6, intensity 45, hkl 1 0 4; 2θ 27.2, intensity 100, hkl 0 2 2; 2θ 28.5, intensity 23, hkl 1 1 4; 2θ 30.3, intensity 71, hkl 2 1 1; 2θ 30.4, intensity 27, hkl 1 0 5; 2θ 34.1, intensity 28, hkl 2 1 3; 2θ 47.3, intensity 27, hkl 2 3 1